Diffraction record for Er2TmFe6Co3. The powder X-ray diffraction pattern is computed, not measured: it uses a PBE-relaxed structure and CuKα.
Kinematic intensities with the Lorentz-polarization factor, no thermal factor.

Top 8 peaks for 10 to 80 degrees two-theta, by angle:
d_spacing	Position (°2θ)	intensity
2.706	33.11	51.8
2.505	35.85	57.8
2.483	36.17	35.2
2.160	41.81	36.6
2.128	42.47	100.0
1.482	62.70	16.8
1.361	68.98	22.5
1.252	75.99	20.1

Atomic structure:
Unit cell a=8.578 b=8.578 c=8.578 alpha=33.95 beta=33.95 gamma=33.95
Atoms (fractional coordinates):
1 Er 0.142 0.142 0.142
2 Er 0.858 0.858 0.858
3 Tm 0.000 0.000 0.000
4 Fe 0.081 0.582 0.582
5 Fe 0.418 0.418 0.919
6 Fe 0.418 0.919 0.418
7 Fe 0.582 0.081 0.582
8 Fe 0.582 0.582 0.081
9 Fe 0.919 0.418 0.418
10 Co 0.333 0.333 0.333
11 Co 0.500 0.500 0.500
12 Co 0.667 0.667 0.667